Entry 1:
This entry pairs a crystal structure of Li2ThTcO6 with its simulated powder XRD pattern. Radiation: λ = 1.5418 Å (Cu Kα). Structure: a cell relaxed with PBE.

Crystal structure
Cell: 5.8449 5.8449 4.4977 Å, 90.00 90.00 90.00°
Fractional positions:
Li (0.0000, 0.5000, 0.0000)
Li (0.5000, 0.0000, 0.0000)
Th (0.0000, 0.0000, 0.7620)
Tc (0.5000, 0.5000, 0.7337)
O (0.0000, 0.0000, 0.2776)
O (0.2771, 0.2771, 0.8534)
O (0.2771, 0.7229, 0.8534)
O (0.5000, 0.5000, 0.3553)
O (0.7229, 0.2771, 0.8534)
O (0.7229, 0.7229, 0.8534)

Largest 10 diffraction maxima, in order of falling intensity, 10 to 80 degrees two-theta:
2θ/deg	I/Imax
21.50	1000
29.35	646
19.74	612
30.59	310
45.94	271
36.67	253
53.61	246
43.81	224
48.48	220
49.30	207

Entry 2:
This entry pairs a crystal structure of LiTl2TcO4 with its simulated powder XRD pattern. Radiation: λ = 1.5418 Å (Cu Kα). Structure: a cell relaxed with PBE.

Crystal structure
Cell: 11.6144 10.3664 6.4416 Å, 83.96 62.57 33.47°
Fractional positions:
Li (0.1250, 0.1250, 0.1250)
Li (0.8750, 0.8750, 0.8750)
Tl (0.0486, 0.0486, 0.7014)
Tl (0.2986, 0.2986, 0.9514)
Tl (0.7014, 0.7014, 0.0486)
Tl (0.9514, 0.9514, 0.2986)
Tc (0.3750, 0.3750, 0.3750)
Tc (0.6250, 0.6250, 0.6250)
O (0.0103, 0.6733, 0.5385)
O (0.2779, 0.5385, 0.6733)
O (0.3267, 0.9897, 0.7221)
O (0.4615, 0.7221, 0.9897)
O (0.5385, 0.2779, 0.0103)
O (0.6733, 0.0103, 0.2779)
O (0.7221, 0.4615, 0.3267)
O (0.9897, 0.3267, 0.4615)

Largest 10 diffraction maxima, in order of falling intensity, 10 to 80 degrees two-theta:
2θ/deg	I/Imax
22.71	1000
31.41	555
30.80	522
37.21	300
54.09	223
30.45	217
54.29	191
44.81	187
44.31	185
43.58	183

Repeat the second record exactly.
This entry pairs a crystal structure of LiTl2TcO4 with its simulated powder XRD pattern. Radiation: λ = 1.5418 Å (Cu Kα). Structure: a cell relaxed with PBE.

Crystal structure
Cell: 11.6144 10.3664 6.4416 Å, 83.96 62.57 33.47°
Fractional positions:
Li (0.1250, 0.1250, 0.1250)
Li (0.8750, 0.8750, 0.8750)
Tl (0.0486, 0.0486, 0.7014)
Tl (0.2986, 0.2986, 0.9514)
Tl (0.7014, 0.7014, 0.0486)
Tl (0.9514, 0.9514, 0.2986)
Tc (0.3750, 0.3750, 0.3750)
Tc (0.6250, 0.6250, 0.6250)
O (0.0103, 0.6733, 0.5385)
O (0.2779, 0.5385, 0.6733)
O (0.3267, 0.9897, 0.7221)
O (0.4615, 0.7221, 0.9897)
O (0.5385, 0.2779, 0.0103)
O (0.6733, 0.0103, 0.2779)
O (0.7221, 0.4615, 0.3267)
O (0.9897, 0.3267, 0.4615)

Largest 10 diffraction maxima, in order of falling intensity, 10 to 80 degrees two-theta:
2θ/deg	I/Imax
22.71	1000
31.41	555
30.80	522
37.21	300
54.09	223
30.45	217
54.29	191
44.81	187
44.31	185
43.58	183

Number 1 is which compound?
Li2ThTcO6